This entry pairs a crystal structure of KHoBeF6 with its theoretical PXRD pattern. Radiation: CuKα. Structure: a cell relaxed with PBE.

Crystal structure
```
data_KHoBeF6
_chemical_formula_sum 'K2 Ho2 Be2 F12'
_cell_length_a 6.424
_cell_length_b 5.842
_cell_length_c 7.086
_cell_angle_alpha 90.00
_cell_angle_beta 113.01
_cell_angle_gamma 90.00
_symmetry_space_group_name_H-M 'P 1 21/m 1'
_symmetry_Int_Tables_number 11
loop_
_symmetry_equiv_pos_as_xyz
'x,y,z'
'-x,-y,-z'
'-x,y+1/2,-z'
'x,-y+1/2,z'
loop_
_atom_site_label
_atom_site_type_symbol
_atom_site_fract_x
_atom_site_fract_y
_atom_site_fract_z
_atom_site_occupancy
K1 K 0.071 0.250 0.205 1
Ho1 Ho 0.388 0.250 0.820 1
Be1 Be 0.233 0.750 0.464 1
F1 F 0.011 0.750 0.263 1
F2 F 0.233 0.534 0.595 1
F3 F 0.322 0.502 0.035 1
F4 F 0.443 0.750 0.409 1
```

Peak list (10 most intense, 2θ from 10° to 90°, sorted by position)
Position (°2θ), I (rel.), h k l
14.98, 49.1, 1 0 0
15.81, 84.8, 1 0 -1
20.41, 95.6, 0 1 1
21.38, 44.7, 1 1 0
27.84, 39.2, 2 0 -1
28.46, 100.0, 1 1 1
29.82, 77.2, 1 1 -2
30.61, 28.8, 0 2 0
41.51, 39.1, 0 2 2
49.59, 29.8, 2 2 1

***

This entry pairs a crystal structure of Mg6CdW with its theoretical PXRD pattern. Radiation: CuKα. Structure: a cell relaxed with PBE.

Crystal structure
```
data_Mg6CdW
_chemical_formula_sum 'Mg12 Cd2 W2'
_cell_length_a 4.948
_cell_length_b 6.173
_cell_length_c 10.655
_cell_angle_alpha 90.00
_cell_angle_beta 90.00
_cell_angle_gamma 90.00
_symmetry_space_group_name_H-M 'A m m 2'
_symmetry_Int_Tables_number 38
loop_
_symmetry_equiv_pos_as_xyz
'x,y,z'
'-x,-y,z'
'-x,y,z'
'x,-y,z'
'x,y+1/2,z+1/2'
'-x,-y+1/2,z+1/2'
'-x,y+1/2,z+1/2'
'x,-y+1/2,z+1/2'
loop_
_atom_site_label
_atom_site_type_symbol
_atom_site_fract_x
_atom_site_fract_y
_atom_site_fract_z
_atom_site_occupancy
Mg1 Mg 0.000 0.000 0.000 1
Mg2 Mg 0.000 0.236 0.745 1
Mg3 Mg 0.500 0.000 0.168 1
Mg4 Mg 0.500 0.248 0.416 1
Cd1 Cd 0.000 0.000 0.507 1
W1 W 0.500 0.000 0.671 1
```

Peak list (10 most intense, 2θ from 10° to 90°, sorted by position)
Position (°2θ), I (rel.), h k l
16.60, 99.6, 0 1 1
24.54, 53.0, 1 0 2
33.58, 25.4, 0 0 4
34.30, 36.4, 1 1 3
36.32, 25.8, 2 0 0
38.32, 100.0, 1 2 2
40.18, 22.4, 2 1 1
48.74, 16.1, 1 2 4
50.29, 16.1, 2 0 4
66.67, 18.9, 3 2 2

***

This entry pairs a crystal structure of BaSb2 with its theoretical PXRD pattern. Radiation: CuKα. Structure: a cell relaxed with PBE.

Crystal structure
```
data_BaSb2
_chemical_formula_sum 'Ba2 Sb4'
_cell_length_a 5.728
_cell_length_b 10.351
_cell_length_c 3.608
_cell_angle_alpha 90.00
_cell_angle_beta 90.00
_cell_angle_gamma 90.00
_symmetry_space_group_name_H-M 'C m m m'
_symmetry_Int_Tables_number 65
_symmetry_space_group_name_Hall '-C 2 2'
loop_
_atom_site_label
_atom_site_type_symbol
_atom_site_fract_x
_atom_site_fract_y
_atom_site_fract_z
_atom_site_occupancy
Ba1 Ba 0.000 0.000 0.000 1
Sb1 Sb 0.000 0.300 0.500 1
```

Peak list (10 most intense, 2θ from 10° to 90°, sorted by position)
Position (°2θ), I (rel.), h k l
30.22, 100.0, 1 3 0
30.53, 38.7, 1 1 1
31.23, 29.8, 2 0 0
44.00, 35.3, 2 2 1
53.48, 25.6, 1 5 1
54.97, 9.1, 3 3 0
60.09, 13.8, 1 3 2
65.15, 8.9, 4 0 0
72.23, 10.4, 3 5 1
86.88, 13.4, 4 0 2

***

This entry pairs a crystal structure of Li3Ni11As7 with its theoretical PXRD pattern. Radiation: CuKα. Structure: a cell relaxed with PBE.

Crystal structure
```
data_Li3Ni11As7
_chemical_formula_sum 'Li3 Ni11 As7'
_cell_length_a 9.333
_cell_length_b 3.725
_cell_length_c 9.358
_cell_angle_alpha 90.00
_cell_angle_beta 119.79
_cell_angle_gamma 90.00
_symmetry_space_group_name_H-M 'P 1 m 1'
_symmetry_Int_Tables_number 6
loop_
_symmetry_equiv_pos_as_xyz
'x,y,z'
'x,-y,z'
loop_
_atom_site_label
_atom_site_type_symbol
_atom_site_fract_x
_atom_site_fract_y
_atom_site_fract_z
_atom_site_occupancy
Li1 Li 0.000 0.000 0.000 1
Li2 Li 0.235 0.000 0.448 1
Li3 Li 0.667 0.500 0.333 1
Ni1 Ni 0.053 0.500 0.503 1
Ni2 Ni 0.212 0.000 0.761 1
Ni3 Ni 0.284 0.500 0.236 1
Ni4 Ni 0.378 0.000 0.095 1
Ni5 Ni 0.452 0.500 0.951 1
Ni6 Ni 0.497 0.500 0.547 1
Ni7 Ni 0.549 0.000 0.788 1
Ni8 Ni 0.719 0.000 0.621 1
Ni9 Ni 0.762 0.500 0.043 1
Ni10 Ni 0.903 0.000 0.281 1
Ni11 Ni 0.954 0.500 0.718 1
As1 As 0.038 0.500 0.243 1
As2 As 0.204 0.500 0.956 1
As3 As 0.336 0.500 0.673 1
As4 As 0.462 0.000 0.372 1
As5 As 0.625 0.000 0.081 1
As6 As 0.752 0.500 0.794 1
As7 As 0.920 0.000 0.543 1
```

Peak list (10 most intense, 2θ from 10° to 90°, sorted by position)
Position (°2θ), I (rel.), h k l
10.92, 37.2, 0 0 1
18.98, 75.6, 2 0 -1
26.34, 61.2, 1 1 -1
38.01, 100.0, 1 1 -3
38.10, 57.5, 3 1 -2
47.15, 40.1, 1 1 3
47.29, 85.5, 3 1 -4
48.91, 84.1, 0 2 0
51.40, 32.4, 4 1 0
51.78, 45.1, 4 0 -5

***

This entry pairs a crystal structure of Na4SnGe2S6 with its theoretical PXRD pattern. Radiation: CuKα. Structure: a cell relaxed with PBE.

Crystal structure
```
data_Na4SnGe2S6
_chemical_formula_sum 'Na8 Sn2 Ge4 S12'
_cell_length_a 6.952
_cell_length_b 11.937
_cell_length_c 7.767
_cell_angle_alpha 90.00
_cell_angle_beta 106.94
_cell_angle_gamma 90.00
_symmetry_space_group_name_H-M 'C 1 2 1'
_symmetry_Int_Tables_number 5
loop_
_symmetry_equiv_pos_as_xyz
'x,y,z'
'-x,y,-z'
'x+1/2,y+1/2,z'
'-x+1/2,y+1/2,-z'
loop_
_atom_site_label
_atom_site_type_symbol
_atom_site_fract_x
_atom_site_fract_y
_atom_site_fract_z
_atom_site_occupancy
Na1 Na 0.000 0.000 0.000 1
Na2 Na 0.000 0.157 0.500 1
Na3 Na 0.000 0.328 0.000 1
Na4 Na 0.000 0.493 0.500 1
Sn1 Sn 0.000 0.655 0.000 1
Ge1 Ge 0.059 0.827 0.664 1
S1 S 0.215 0.820 0.235 1
S2 S 0.241 0.982 0.750 1
S3 S 0.242 0.671 0.754 1
```

Peak list (10 most intense, 2θ from 10° to 90°, sorted by position)
Position (°2θ), I (rel.), h k l
14.84, 14.0, 0 2 0
15.25, 69.2, 1 1 0
16.81, 16.0, 1 1 -1
19.07, 18.0, 0 2 1
28.30, 13.5, 0 2 2
30.40, 100.0, 2 0 -2
35.60, 11.4, 1 1 -3
38.41, 16.7, 1 3 2
45.29, 32.6, 3 3 -1
45.60, 16.0, 0 6 0

***

This entry pairs a crystal structure of LiBeSb with its theoretical PXRD pattern. Radiation: CuKα. Structure: a cell relaxed with PBE.

Crystal structure
```
data_LiBeSb
_chemical_formula_sum 'Li2 Be2 Sb2'
_cell_length_a 4.1724
_cell_length_b 4.1724
_cell_length_c 6.7808
_cell_angle_alpha 90.00
_cell_angle_beta 90.00
_cell_angle_gamma 120.00
_symmetry_space_group_name_H-M 'P 63 m c'
_symmetry_Int_Tables_number 186
_symmetry_space_group_name_Hall 'P 6c -2c'
loop_
_atom_site_label
_atom_site_type_symbol
_atom_site_fract_x
_atom_site_fract_y
_atom_site_fract_z
_atom_site_occupancy
Li1 Li 0.0000 0.0000 0.0000 1
Be1 Be 0.3333 0.6667 0.3546 1
Sb1 Sb 0.3333 0.6667 0.7376 1
```

Peak list (10 most intense, 2θ from 10° to 90°, sorted by position)
Position (°2θ), I (rel.), h k l
24.64, 23.5, 1 0 0
26.29, 26.3, 0 0 2
27.98, 100.0, 1 0 1
36.34, 21.4, 1 0 2
43.37, 25.9, 1 1 0
47.44, 26.6, 1 0 3
51.43, 24.3, 1 1 2
52.41, 17.3, 2 0 1
70.31, 14.1, 2 1 1
82.53, 10.5, 2 1 3

***

This entry pairs a crystal structure of K2LiTlCl6 with its theoretical PXRD pattern. Radiation: CuKα. Structure: a cell relaxed with PBE.

Crystal structure
```
data_K2LiTlCl6
_chemical_formula_sum 'K8 Li4 Tl4 Cl24'
_cell_length_a 10.361
_cell_length_b 10.361
_cell_length_c 10.361
_cell_angle_alpha 90.00
_cell_angle_beta 90.00
_cell_angle_gamma 90.00
_symmetry_space_group_name_H-M 'F m -3 m'
_symmetry_Int_Tables_number 225
_symmetry_space_group_name_Hall '-F 4 2 3'
loop_
_atom_site_label
_atom_site_type_symbol
_atom_site_fract_x
_atom_site_fract_y
_atom_site_fract_z
_atom_site_occupancy
K1 K 0.250 0.250 0.250 1
Li1 Li 0.000 0.000 0.000 1
Tl1 Tl 0.000 0.000 0.500 1
Cl1 Cl 0.000 0.000 0.248 1
```

Peak list (10 most intense, 2θ from 10° to 90°, sorted by position)
Position (°2θ), I (rel.), h k l
14.81, 100.0, 1 1 1
17.12, 58.7, 2 0 0
24.30, 60.7, 2 2 0
28.57, 67.8, 3 1 1
34.63, 67.7, 4 0 0
37.85, 33.8, 3 3 1
38.87, 30.0, 4 2 0
42.76, 28.1, 4 2 2
49.78, 44.7, 4 4 0
52.23, 25.3, 5 3 1

***

Repeat the sixth record exactly.
This entry pairs a crystal structure of LiBeSb with its theoretical PXRD pattern. Radiation: CuKα. Structure: a cell relaxed with PBE.

Crystal structure
```
data_LiBeSb
_chemical_formula_sum 'Li2 Be2 Sb2'
_cell_length_a 4.1724
_cell_length_b 4.1724
_cell_length_c 6.7808
_cell_angle_alpha 90.00
_cell_angle_beta 90.00
_cell_angle_gamma 120.00
_symmetry_space_group_name_H-M 'P 63 m c'
_symmetry_Int_Tables_number 186
_symmetry_space_group_name_Hall 'P 6c -2c'
loop_
_atom_site_label
_atom_site_type_symbol
_atom_site_fract_x
_atom_site_fract_y
_atom_site_fract_z
_atom_site_occupancy
Li1 Li 0.0000 0.0000 0.0000 1
Be1 Be 0.3333 0.6667 0.3546 1
Sb1 Sb 0.3333 0.6667 0.7376 1
```

Peak list (10 most intense, 2θ from 10° to 90°, sorted by position)
Position (°2θ), I (rel.), h k l
24.64, 23.5, 1 0 0
26.29, 26.3, 0 0 2
27.98, 100.0, 1 0 1
36.34, 21.4, 1 0 2
43.37, 25.9, 1 1 0
47.44, 26.6, 1 0 3
51.43, 24.3, 1 1 2
52.41, 17.3, 2 0 1
70.31, 14.1, 2 1 1
82.53, 10.5, 2 1 3